For LaCrIO4, DFT lattice parameters and positions (PBE+U) gives the theoretical powder X-ray diffraction pattern in this record (a wavelength of 1.5418 Å).
Peak positions follow from Bragg's law for the DFT cell and can differ from measured ones.

Cell: 6.7500 6.7500 6.8791 Å, 99.77 99.77 64.94°
Atoms (fractional coordinates):
La 0.2342 0.2342 0.3526
La 0.7658 0.7658 0.6474
Cr 0.1345 0.1345 0.7631
Cr 0.8655 0.8655 0.2369
I 0.4846 0.4846 0.7503
I 0.5154 0.5154 0.2497
O 0.0017 0.3652 0.6376
O 0.0138 0.0138 0.2679
O 0.2032 0.2032 0.0012
O 0.3652 0.0017 0.6376
O 0.6348 0.9983 0.3624
O 0.7968 0.7968 0.9988
O 0.9862 0.9862 0.7321
O 0.9983 0.6348 0.3624

The 12 most intense peaks (5 to 70 degrees two-theta), sorted by position:
Position (°2θ)	intensity
13.14	28
24.56	100
26.45	38
26.95	68
27.83	30
31.75	37
32.09	20
32.20	29
34.42	53
36.41	30
40.83	24
48.01	25